Starting from the PBE geometry in Alexandria, the XRD peak list of Pr2ErAgS5 was computed for Cu Ka.

Atomic structure:
```
data_Pr2ErAgS5
_chemical_formula_sum 'Pr8 Er4 Ag4 S20'
_symmetry_space_group_name_H-M 'C m c 21'
_symmetry_Int_Tables_number 36
_cell_length_a 4.0064
_cell_length_b 16.7440
_cell_length_c 12.0923
_cell_angle_alpha 90.00
_cell_angle_beta 90.00
_cell_angle_gamma 90.00
loop_
_symmetry_equiv_pos_as_xyz
'x,y,z'
'-x,-y,z+1/2'
'-x,y,z'
'x,-y,z+1/2'
'x+1/2,y+1/2,z'
'-x+1/2,-y+1/2,z+1/2'
'-x+1/2,y+1/2,z'
'x+1/2,-y+1/2,z+1/2'
loop_
_atom_site_label
_atom_site_type_symbol
_atom_site_fract_x
_atom_site_fract_y
_atom_site_fract_z
Pr1 Pr 0.0000 0.1100 0.0000
Pr2 Pr 0.0000 0.1262 0.6193
Er1 Er 0.0000 0.1963 0.3217
Ag1 Ag 0.0000 0.4574 0.7785
S1 S 0.0000 0.0487 0.3952
S2 S 0.0000 0.2866 0.9770
S3 S 0.0000 0.3059 0.6639
S4 S 0.0000 0.3578 0.3147
S5 S 0.0000 0.4979 0.0870
```

Largest 10 diffraction maxima, by angle, 5° ≤ 2θ ≤ 70°:
| d/Å | 2θ (°) | I/Imax | index |
| --- | --- | --- | --- |
| 3.632 | 24.5 | 69.7 | 0 2 3 |
| 3.275 | 27.2 | 36.9 | 1 1 2 |
| 3.255 | 27.4 | 49.3 | 1 3 0 |
| 3.143 | 28.4 | 30.4 | 1 3 1 |
| 2.801 | 31.9 | 100.0 | 1 1 3 |
| 2.719 | 32.9 | 58.2 | 0 6 1 |
| 2.365 | 38.1 | 55.3 | 1 5 2 |
| 2.167 | 41.7 | 26.3 | 1 5 3 |
| 2.003 | 45.3 | 31.7 | 2 0 0 |
| 1.828 | 49.9 | 26.4 | 0 6 5 |

Starting from the PBE geometry in Alexandria, the XRD peak list of Ho6PuRu5 was computed for Cu Ka.

Atomic structure:
```
data_Ho6PuRu5
_chemical_formula_sum 'Ho12 Pu2 Ru10'
_symmetry_space_group_name_H-M 'I m m m'
_symmetry_Int_Tables_number 71
_symmetry_space_group_name_Hall '-I 2 2'
_cell_length_a 4.8166
_cell_length_b 7.0225
_cell_length_c 14.6539
_cell_angle_alpha 90.00
_cell_angle_beta 90.00
_cell_angle_gamma 90.00
loop_
_atom_site_label
_atom_site_type_symbol
_atom_site_fract_x
_atom_site_fract_y
_atom_site_fract_z
Ho1 Ho 0.0000 0.2234 0.0000
Ho2 Ho 0.0000 0.2627 0.3250
Pu1 Pu 0.0000 0.0000 0.5000
Ru1 Ru 0.0000 0.0000 0.1681
Ru2 Ru 0.0000 0.5000 0.1539
Ru3 Ru 0.0000 0.5000 0.5000
```

Largest 10 diffraction maxima, by angle, 5° ≤ 2θ ≤ 70°:
| d/Å | 2θ (°) | I/Imax | index |
| --- | --- | --- | --- |
| 2.693 | 33.3 | 3.0 | 1 1 4 |
| 2.453 | 36.6 | 100.0 | 1 2 3 |
| 2.442 | 36.8 | 24.2 | 0 0 6 |
| 2.408 | 37.3 | 24.9 | 2 0 0 |
| 1.756 | 52.1 | 8.5 | 0 4 0 |
| 1.715 | 53.4 | 16.6 | 2 0 6 |
| 1.426 | 65.5 | 7.9 | 0 4 6 |
| 1.419 | 65.8 | 8.3 | 2 4 0 |
| 1.412 | 66.2 | 15.6 | 1 2 9 |
| 1.399 | 66.9 | 17.3 | 3 2 3 |

Starting from the PBE geometry in Alexandria, the XRD peak list of Ta3Be2B4 was computed for Cu Ka.

Atomic structure:
```
data_Ta3Be2B4
_chemical_formula_sum 'Ta6 Be4 B8'
_symmetry_space_group_name_H-M 'C 1 2/m 1'
_symmetry_Int_Tables_number 12
_cell_length_a 8.5931
_cell_length_b 3.2016
_cell_length_c 6.4499
_cell_angle_alpha 90.00
_cell_angle_beta 99.98
_cell_angle_gamma 90.00
loop_
_symmetry_equiv_pos_as_xyz
'x,y,z'
'-x,-y,-z'
'-x,y,-z'
'x,-y,z'
'x+1/2,y+1/2,z'
'-x+1/2,-y+1/2,-z'
'-x+1/2,y+1/2,-z'
'x+1/2,-y+1/2,z'
loop_
_atom_site_label
_atom_site_type_symbol
_atom_site_fract_x
_atom_site_fract_y
_atom_site_fract_z
Ta1 Ta 0.0000 0.0000 0.0000
Ta2 Ta 0.1661 0.5000 0.6687
Be1 Be 0.1112 0.5000 0.2770
B1 B 0.0529 0.0000 0.3936
B2 B 0.2236 0.5000 0.0504
```

Largest 10 diffraction maxima, by angle, 5° ≤ 2θ ≤ 70°:
| d/Å | 2θ (°) | I/Imax | index |
| --- | --- | --- | --- |
| 3.270 | 27.3 | 46.0 | 2 0 1 |
| 2.777 | 32.2 | 100.0 | 2 0 -2 |
| 2.118 | 42.7 | 73.2 | 3 1 0 |
| 2.115 | 42.8 | 36.5 | 1 1 2 |
| 1.635 | 56.3 | 8.7 | 4 0 2 |
| 1.605 | 57.4 | 16.4 | 3 1 -3 |
| 1.441 | 64.7 | 17.4 | 5 1 -2 |
| 1.438 | 64.8 | 8.6 | 2 2 1 |
| 1.409 | 66.3 | 17.3 | 6 0 0 |
| 1.408 | 66.4 | 8.7 | 3 1 3 |

Starting from the PBE geometry in Alexandria, the XRD peak list of Tb3Ce5As8 was computed for Cu Ka.

Atomic structure:
```
data_Tb3Ce5As8
_chemical_formula_sum 'Tb9 Ce15 As24'
_symmetry_space_group_name_H-M 'R -3 m'
_symmetry_Int_Tables_number 166
_symmetry_space_group_name_Hall '-R 3 2"'
_cell_length_a 8.3769
_cell_length_b 8.3769
_cell_length_c 20.5019
_cell_angle_alpha 90.00
_cell_angle_beta 90.00
_cell_angle_gamma 120.00
loop_
_atom_site_label
_atom_site_type_symbol
_atom_site_fract_x
_atom_site_fract_y
_atom_site_fract_z
Tb1 Tb 0.0000 0.5000 0.0000
Ce1 Ce 0.0000 0.0000 0.0000
Ce2 Ce 0.0000 0.0000 0.5000
Ce3 Ce 0.0000 0.5000 0.5000
As1 As 0.0000 0.0000 0.2509
As2 As 0.0016 0.5008 0.2508
```

Largest 7 diffraction maxima, by angle, 5° ≤ 2θ ≤ 70°:
| d/Å | 2θ (°) | I/Imax | index |
| --- | --- | --- | --- |
| 3.419 | 26.1 | 18.0 | 2 0 2 |
| 2.961 | 30.2 | 100.0 | 0 2 4 |
| 2.094 | 43.2 | 74.7 | 2 2 0 |
| 1.785 | 51.2 | 8.8 | 2 2 6 |
| 1.709 | 53.6 | 26.3 | 4 0 4 |
| 1.480 | 62.8 | 12.2 | 0 4 8 |
| 1.359 | 69.1 | 3.6 | 2 0 14 |

Starting from the PBE geometry in Alexandria, the XRD peak list of PmCdAs2Pd5 was computed for Cu Ka.

Atomic structure:
```
data_PmCdAs2Pd5
_chemical_formula_sum 'Pm1 Cd1 As2 Pd5'
_symmetry_space_group_name_H-M 'P 4/m m m'
_symmetry_Int_Tables_number 123
_symmetry_space_group_name_Hall '-P 4 2'
_cell_length_a 4.6755
_cell_length_b 4.6755
_cell_length_c 7.7654
_cell_angle_alpha 90.00
_cell_angle_beta 90.00
_cell_angle_gamma 90.00
loop_
_atom_site_label
_atom_site_type_symbol
_atom_site_fract_x
_atom_site_fract_y
_atom_site_fract_z
Pm1 Pm 0.0000 0.0000 0.0000
Cd1 Cd 0.0000 0.0000 0.5000
As1 As 0.5000 0.5000 0.3373
Pd1 Pd 0.0000 0.5000 0.2392
Pd2 Pd 0.5000 0.5000 0.0000
```

Largest 10 diffraction maxima, by angle, 5° ≤ 2θ ≤ 70°:
| d/Å | 2θ (°) | I/Imax | index |
| --- | --- | --- | --- |
| 2.987 | 29.9 | 15.1 | 1 0 2 |
| 2.517 | 35.7 | 100.0 | 1 1 2 |
| 2.338 | 38.5 | 69.8 | 2 0 0 |
| 2.265 | 39.8 | 7.3 | 1 0 3 |
| 2.038 | 44.5 | 14.8 | 1 1 3 |
| 1.941 | 46.8 | 10.5 | 0 0 4 |
| 1.841 | 49.5 | 7.4 | 2 1 2 |
| 1.653 | 55.6 | 23.6 | 2 2 0 |
| 1.494 | 62.2 | 17.7 | 2 0 4 |
| 1.382 | 67.8 | 29.5 | 3 1 2 |

Starting from the PBE geometry in Alexandria, the XRD peak list of CaPmTc2N4 was computed for Cu Ka.

Atomic structure:
```
data_CaPmTc2N4
_chemical_formula_sum 'Ca2 Pm2 Tc4 N8'
_symmetry_space_group_name_H-M 'I 4/m m m'
_symmetry_Int_Tables_number 139
_symmetry_space_group_name_Hall '-I 4 2'
_cell_length_a 5.5976
_cell_length_b 5.5976
_cell_length_c 6.6627
_cell_angle_alpha 90.00
_cell_angle_beta 90.00
_cell_angle_gamma 90.00
loop_
_atom_site_label
_atom_site_type_symbol
_atom_site_fract_x
_atom_site_fract_y
_atom_site_fract_z
Ca1 Ca 0.0000 0.0000 0.0000
Pm1 Pm 0.0000 0.0000 0.5000
Tc1 Tc 0.0000 0.5000 0.2500
N1 N 0.2500 0.2500 0.2500
```

Largest 10 diffraction maxima, by angle, 5° ≤ 2θ ≤ 70°:
| d/Å | 2θ (°) | I/Imax | index |
| --- | --- | --- | --- |
| 4.286 | 20.7 | 26.5 | 1 0 1 |
| 2.799 | 32.0 | 47.7 | 2 0 0 |
| 2.549 | 35.2 | 100.0 | 1 1 2 |
| 2.343 | 38.4 | 11.4 | 2 1 1 |
| 1.979 | 45.9 | 29.6 | 2 2 0 |
| 1.666 | 55.1 | 8.3 | 0 0 4 |
| 1.661 | 55.3 | 4.1 | 2 1 3 |
| 1.563 | 59.1 | 43.3 | 3 1 2 |
| 1.431 | 65.2 | 12.8 | 2 0 4 |
| 1.399 | 66.9 | 9.0 | 4 0 0 |

Starting from the PBE geometry in Alexandria, the XRD peak list of Pm6AgPd3 was computed for Cu Ka.

Atomic structure:
```
data_Pm6AgPd3
_chemical_formula_sum 'Pm24 Ag4 Pd12'
_symmetry_space_group_name_H-M 'C m c 21'
_symmetry_Int_Tables_number 36
_cell_length_a 10.5229
_cell_length_b 15.0005
_cell_length_c 6.9634
_cell_angle_alpha 90.00
_cell_angle_beta 90.00
_cell_angle_gamma 90.00
loop_
_symmetry_equiv_pos_as_xyz
'x,y,z'
'-x,-y,z+1/2'
'-x,y,z'
'x,-y,z+1/2'
'x+1/2,y+1/2,z'
'-x+1/2,-y+1/2,z+1/2'
'-x+1/2,y+1/2,z'
'x+1/2,-y+1/2,z+1/2'
loop_
_atom_site_label
_atom_site_type_symbol
_atom_site_fract_x
_atom_site_fract_y
_atom_site_fract_z
Pm1 Pm 0.0000 0.0407 0.0000
Pm2 Pm 0.0000 0.2871 0.0216
Pm3 Pm 0.1901 0.2921 0.5189
Pm4 Pm 0.1958 0.4669 0.1559
Ag1 Ag 0.0000 0.1570 0.6675
Pd1 Pd 0.0000 0.4303 0.4380
Pd2 Pd 0.1430 0.1191 0.3160
```

Largest 10 diffraction maxima, by angle, 5° ≤ 2θ ≤ 70°:
| d/Å | 2θ (°) | I/Imax | index |
| --- | --- | --- | --- |
| 3.066 | 29.1 | 44.8 | 3 1 1 |
| 2.797 | 32.0 | 100.0 | 2 4 1 |
| 2.757 | 32.5 | 31.7 | 1 3 2 |
| 2.708 | 33.1 | 35.1 | 2 2 2 |
| 2.655 | 33.8 | 32.5 | 3 3 1 |
| 2.552 | 35.2 | 22.3 | 0 4 2 |
| 2.438 | 36.9 | 31.2 | 3 1 2 |
| 2.218 | 40.7 | 21.6 | 0 2 3 |
| 2.099 | 43.1 | 22.1 | 4 0 2 |
| 1.695 | 54.1 | 21.4 | 5 3 2 |

Starting from the PBE geometry in Alexandria, the XRD peak list of MgTaCd was computed for Cu Ka.

Atomic structure:
```
data_MgTaCd
_chemical_formula_sum 'Mg2 Ta2 Cd2'
_symmetry_space_group_name_H-M 'I 4 m m'
_symmetry_Int_Tables_number 107
_symmetry_space_group_name_Hall 'I 4 -2'
_cell_length_a 2.8995
_cell_length_b 2.8995
_cell_length_c 13.9940
_cell_angle_alpha 90.00
_cell_angle_beta 90.00
_cell_angle_gamma 90.00
loop_
_atom_site_label
_atom_site_type_symbol
_atom_site_fract_x
_atom_site_fract_y
_atom_site_fract_z
Mg1 Mg 0.0000 0.0000 0.0000
Ta1 Ta 0.0000 0.0000 0.3382
Cd1 Cd 0.0000 0.0000 0.6732
```

Largest 10 diffraction maxima, by angle, 5° ≤ 2θ ≤ 70°:
| d/Å | 2θ (°) | I/Imax | index |
| --- | --- | --- | --- |
| 6.997 | 12.7 | 55.6 | 0 0 2 |
| 3.498 | 25.5 | 10.0 | 0 0 4 |
| 2.839 | 31.5 | 24.9 | 1 0 1 |
| 2.463 | 36.5 | 100.0 | 1 0 3 |
| 2.332 | 38.6 | 21.3 | 0 0 6 |
| 2.050 | 44.2 | 29.2 | 1 1 0 |
| 2.014 | 45.0 | 10.9 | 1 0 5 |
| 1.968 | 46.1 | 9.5 | 1 1 2 |
| 1.540 | 60.1 | 23.0 | 1 1 6 |
| 1.370 | 68.5 | 15.4 | 1 0 9 |